Record 1
Ac2Nd2Dy3: computed X-ray diffraction stick pattern (Cu Kα), based on a cell relaxed with PBE.

Structure:
Lattice parameters (Å, degrees): 5.811 3.590 12.554 90.00 103.35 90.00
Positions (direct):
Ac1 0.077 0.000 0.154
Ac2 0.923 0.000 0.846
Nd1 0.349 0.500 0.698
Nd2 0.651 0.500 0.302
Dy1 0.218 0.000 0.435
Dy2 0.500 0.000 0.000
Dy3 0.782 0.000 0.565

Main lines, by intensity (2θ from 15° to 90°):
| 2θ (°) | d/Å | I_rel |
| --- | --- | --- |
| 29.9 | 2.992 | 1000 |
| 30.8 | 2.906 | 491 |
| 31.3 | 2.860 | 414 |
| 29.5 | 3.030 | 320 |
| 39.2 | 2.298 | 282 |
| 60.1 | 1.539 | 281 |
| 24.8 | 3.590 | 229 |
| 33.3 | 2.693 | 209 |
| 54.2 | 1.694 | 192 |
| 46.0 | 1.975 | 173 |



Record 2
AcNd3Dy8: computed X-ray diffraction stick pattern (Cu Kα), based on a cell relaxed with PBE.

Structure:
Lattice parameters (Å, degrees): 8.592 8.592 8.592 100.38 95.38 136.56
Positions (direct):
Ac1 0.000 0.000 0.000
Nd1 0.089 0.341 0.748
Nd2 0.500 0.000 0.500
Nd3 0.594 0.341 0.252
Dy1 0.005 0.339 0.334
Dy2 0.005 0.671 0.666
Dy3 0.086 0.002 0.422
Dy4 0.086 0.663 0.083
Dy5 0.506 0.335 0.829
Dy6 0.506 0.677 0.171
Dy7 0.580 0.002 0.917
Dy8 0.580 0.663 0.578

Main lines, by intensity (2θ from 15° to 90°):
| 2θ (°) | d/Å | I_rel |
| --- | --- | --- |
| 32.1 | 2.785 | 1000 |
| 30.9 | 2.892 | 246 |
| 28.1 | 3.178 | 237 |
| 59.7 | 1.549 | 228 |
| 55.8 | 1.648 | 210 |
| 49.7 | 1.835 | 197 |
| 60.4 | 1.532 | 165 |
| 42.3 | 2.139 | 159 |
| 81.9 | 1.176 | 139 |
| 85.5 | 1.136 | 84 |



Record 3
AcNd15Dy4: computed X-ray diffraction stick pattern (Cu Kα), based on a cell relaxed with PBE.

Structure:
Lattice parameters (Å, degrees): 5.195 5.195 25.900 90.00 90.00 90.00
Positions (direct):
Ac1 0.000 0.000 0.000
Nd1 0.000 0.500 0.105
Nd2 0.000 0.500 0.303
Nd3 0.000 0.500 0.500
Nd4 0.000 0.500 0.697
Nd5 0.000 0.500 0.895
Nd6 0.500 0.000 0.105
Nd7 0.500 0.000 0.303
Nd8 0.500 0.000 0.500
Nd9 0.500 0.000 0.697
Nd10 0.500 0.000 0.895
Nd11 0.500 0.500 0.000
Nd12 0.500 0.500 0.205
Nd13 0.500 0.500 0.401
Nd14 0.500 0.500 0.599
Nd15 0.500 0.500 0.795
Dy1 0.000 0.000 0.204
Dy2 0.000 0.000 0.401
Dy3 0.000 0.000 0.599
Dy4 0.000 0.000 0.796

Main lines, by intensity (2θ from 15° to 90°):
| 2θ (°) | d/Å | I_rel |
| --- | --- | --- |
| 29.8 | 2.996 | 1000 |
| 49.7 | 1.835 | 359 |
| 34.5 | 2.597 | 343 |
| 59.0 | 1.566 | 291 |
| 34.6 | 2.590 | 163 |
| 59.1 | 1.563 | 133 |
| 61.9 | 1.498 | 122 |
| 83.2 | 1.161 | 109 |
| 80.7 | 1.190 | 109 |
| 80.6 | 1.192 | 59 |